[1]
Diffraction record for TiSiS4. The powder XRD pattern is theoretical, not measured: it uses a crystal structure in Alexandria, relaxed with GGA-PBE and copper Kα.

Crystal structure
Cell: 5.693 5.695 11.630 Å, 90.00 90.00 90.00°
Positions (direct):
Ti 0.000 0.000 0.000
Ti 0.500 0.000 0.500
Si 0.000 0.000 0.500
Si 0.000 0.500 0.000
S 0.210 0.269 0.104
S 0.210 0.731 0.896
S 0.231 0.210 0.604
S 0.231 0.790 0.396
S 0.769 0.210 0.396
S 0.769 0.790 0.604
S 0.790 0.269 0.896
S 0.790 0.731 0.104

Top 10 peaks for 15° ≤ 2θ ≤ 90°, sorted by position:
5.815 Å, rel. 85; 5.694 Å, rel. 40; 5.114 Å, rel. 54; 4.068 Å, rel. 21; 3.310 Å, rel. 100; 2.034 Å, rel. 47; 2.013 Å, rel. 25; 1.902 Å, rel. 13; 1.719 Å, rel. 22; 1.602 Å, rel. 17

[2]
Diffraction record for LaPm7Mg2. The powder XRD pattern is theoretical, not measured: it uses a crystal structure in Alexandria, relaxed with GGA-PBE and copper Kα.

Crystal structure
Cell: 8.875 3.432 11.690 Å, 90.00 110.82 90.00°
Positions (direct):
La 0.000 0.000 0.000
Pm 0.000 0.500 0.500
Pm 0.193 0.500 0.805
Pm 0.221 0.500 0.312
Pm 0.399 0.000 0.616
Pm 0.601 0.000 0.384
Pm 0.779 0.500 0.688
Pm 0.807 0.500 0.195
Mg 0.401 0.500 0.102
Mg 0.599 0.500 0.898

Top 10 peaks for 15° ≤ 2θ ≤ 90°, sorted by position:
3.167 Å, rel. 17; 2.941 Å, rel. 25; 2.921 Å, rel. 100; 2.906 Å, rel. 11; 2.851 Å, rel. 37; 2.644 Å, rel. 13; 2.416 Å, rel. 13; 1.659 Å, rel. 13; 1.479 Å, rel. 21; 1.471 Å, rel. 15

[3]
Diffraction record for Ho2Pd7Pt3. The powder XRD pattern is theoretical, not measured: it uses a crystal structure in Alexandria, relaxed with GGA-PBE and copper Kα.

Crystal structure
Cell: 5.749 4.055 8.689 Å, 90.00 90.08 90.00°
Positions (direct):
Ho 0.000 0.000 0.185
Ho 0.000 0.000 0.815
Pd 0.258 0.500 0.337
Pd 0.258 0.500 0.664
Pd 0.259 0.500 0.000
Pd 0.500 0.000 0.500
Pd 0.741 0.500 0.000
Pd 0.742 0.500 0.336
Pd 0.742 0.500 0.663
Pt 0.000 0.000 0.500
Pt 0.500 0.000 0.166
Pt 0.500 0.000 0.834

Top 10 peaks for 15° ≤ 2θ ≤ 90°, sorted by position:
2.357 Å, rel. 99; 2.345 Å, rel. 100; 2.040 Å, rel. 65; 2.028 Å, rel. 33; 1.438 Å, rel. 52; 1.232 Å, rel. 23; 1.227 Å, rel. 24; 1.225 Å, rel. 12; 1.223 Å, rel. 13; 1.173 Å, rel. 12

[4]
Diffraction record for ZnCr2Se2S2. The powder XRD pattern is theoretical, not measured: it uses a crystal structure in Alexandria, relaxed with GGA-PBE and copper Kα.

Crystal structure
Cell: 7.297 7.297 7.297 Å, 60.00 60.00 60.00°
Positions (direct):
Zn 0.000 0.000 0.000
Zn 0.250 0.250 0.250
Cr 0.138 0.621 0.621
Cr 0.621 0.138 0.621
Cr 0.621 0.621 0.138
Cr 0.621 0.621 0.621
Se 0.407 0.864 0.864
Se 0.864 0.407 0.864
Se 0.864 0.864 0.407
Se 0.864 0.864 0.864
S 0.386 0.386 0.386
S 0.386 0.386 0.843
S 0.386 0.843 0.386
S 0.843 0.386 0.386

Top 10 peaks for 15° ≤ 2θ ≤ 90°, sorted by position:
3.649 Å, rel. 29; 3.112 Å, rel. 76; 2.979 Å, rel. 25; 2.580 Å, rel. 63; 2.107 Å, rel. 13; 1.986 Å, rel. 48; 1.824 Å, rel. 100; 1.344 Å, rel. 15; 1.290 Å, rel. 14; 1.154 Å, rel. 14

[5]
Diffraction record for La4CdSnO. The powder XRD pattern is theoretical, not measured: it uses a crystal structure in Alexandria, relaxed with GGA-PBE and copper Kα.

Crystal structure
Cell: 9.247 9.247 6.980 Å, 90.00 90.00 135.75°
Positions (direct):
La 0.000 0.500 0.000
La 0.000 0.500 0.500
La 0.076 0.924 0.750
La 0.422 0.578 0.750
La 0.500 0.000 0.000
La 0.500 0.000 0.500
La 0.578 0.422 0.250
La 0.924 0.076 0.250
Cd 0.115 0.885 0.250
Cd 0.885 0.115 0.750
Sn 0.388 0.612 0.250
Sn 0.612 0.388 0.750
O 0.249 0.751 0.750
O 0.751 0.249 0.250

Top 10 peaks for 15° ≤ 2θ ≤ 90°, sorted by position:
3.486 Å, rel. 19; 3.229 Å, rel. 96; 2.855 Å, rel. 38; 2.814 Å, rel. 29; 2.704 Å, rel. 100; 2.465 Å, rel. 74; 1.866 Å, rel. 43; 1.534 Å, rel. 22; 1.486 Å, rel. 21; 1.465 Å, rel. 31

[6]
Diffraction record for GdThAgPb. The powder XRD pattern is theoretical, not measured: it uses a crystal structure in Alexandria, relaxed with GGA-PBE and copper Kα.

Crystal structure
Cell: 7.627 7.627 7.627 Å, 90.00 90.00 90.00°
Positions (direct):
Gd 0.000 0.000 0.000
Gd 0.000 0.500 0.500
Gd 0.500 0.000 0.500
Gd 0.500 0.500 0.000
Th 0.000 0.000 0.500
Th 0.000 0.500 0.000
Th 0.500 0.000 0.000
Th 0.500 0.500 0.500
Ag 0.250 0.250 0.750
Ag 0.250 0.750 0.250
Ag 0.750 0.250 0.250
Ag 0.750 0.750 0.750
Pb 0.250 0.250 0.250
Pb 0.250 0.750 0.750
Pb 0.750 0.250 0.750
Pb 0.750 0.750 0.250

Top 10 peaks for 15° ≤ 2θ ≤ 90°, sorted by position:
4.404 Å, rel. 6; 2.697 Å, rel. 100; 2.300 Å, rel. 4; 1.907 Å, rel. 18; 1.750 Å, rel. 2; 1.557 Å, rel. 38; 1.348 Å, rel. 12; 1.289 Å, rel. 1; 1.206 Å, rel. 17; 1.101 Å, rel. 4

[7]
Diffraction record for SmErB12. The powder XRD pattern is theoretical, not measured: it uses a crystal structure in Alexandria, relaxed with GGA-PBE and copper Kα.

Crystal structure
Cell: 4.102 4.102 8.208 Å, 90.00 90.00 90.00°
Positions (direct):
Sm 0.000 0.000 0.000
Er 0.000 0.000 0.500
B 0.199 0.500 0.252
B 0.199 0.500 0.748
B 0.500 0.199 0.252
B 0.500 0.199 0.748
B 0.500 0.500 0.100
B 0.500 0.500 0.401
B 0.500 0.500 0.599
B 0.500 0.500 0.900
B 0.500 0.801 0.252
B 0.500 0.801 0.748
B 0.801 0.500 0.252
B 0.801 0.500 0.748

Top 10 peaks for 15° ≤ 2θ ≤ 90°, sorted by position:
4.103 Å, rel. 69; 2.901 Å, rel. 100; 2.369 Å, rel. 42; 2.051 Å, rel. 21; 1.835 Å, rel. 50; 1.675 Å, rel. 28; 1.368 Å, rel. 28; 1.297 Å, rel. 20; 1.237 Å, rel. 13; 1.097 Å, rel. 18

[8]
Diffraction record for ZrCuP2O12. The powder XRD pattern is theoretical, not measured: it uses a crystal structure in Alexandria, relaxed with GGA-PBE and copper Kα.

Crystal structure
Cell: 5.456 5.463 9.565 Å, 79.36 82.79 60.26°
Positions (direct):
Zr 0.000 0.000 0.000
Cu 0.500 0.500 0.500
P 0.354 0.390 0.823
P 0.646 0.610 0.177
O 0.106 0.810 0.425
O 0.112 0.148 0.501
O 0.197 0.232 0.897
O 0.221 0.691 0.864
O 0.323 0.415 0.660
O 0.331 0.776 0.143
O 0.669 0.224 0.857
O 0.677 0.585 0.340
O 0.779 0.309 0.136
O 0.803 0.768 0.103
O 0.888 0.852 0.499
O 0.894 0.190 0.575

Top 10 peaks for 15° ≤ 2θ ≤ 90°, sorted by position:
4.697 Å, rel. 60; 4.645 Å, rel. 100; 4.461 Å, rel. 92; 4.296 Å, rel. 66; 3.895 Å, rel. 19; 3.402 Å, rel. 29; 3.041 Å, rel. 36; 2.795 Å, rel. 28; 2.735 Å, rel. 33; 2.717 Å, rel. 35

[9]
Diffraction record for Ce5CoHg2. The powder XRD pattern is theoretical, not measured: it uses a crystal structure in Alexandria, relaxed with GGA-PBE and copper Kα.

Crystal structure
Cell: 6.615 6.615 9.097 Å, 90.00 90.00 90.00°
Positions (direct):
Ce 0.000 0.000 0.000
Ce 0.223 0.223 0.307
Ce 0.223 0.777 0.307
Ce 0.277 0.277 0.807
Ce 0.277 0.723 0.807
Ce 0.500 0.500 0.500
Ce 0.723 0.277 0.807
Ce 0.723 0.723 0.807
Ce 0.777 0.223 0.307
Ce 0.777 0.777 0.307
Co 0.000 0.000 0.691
Co 0.500 0.500 0.191
Hg 0.000 0.500 0.061
Hg 0.000 0.500 0.561
Hg 0.500 0.000 0.061
Hg 0.500 0.000 0.561

Top 10 peaks for 15° ≤ 2θ ≤ 90°, sorted by position:
3.261 Å, rel. 16; 2.675 Å, rel. 100; 2.339 Å, rel. 39; 2.274 Å, rel. 13; 2.045 Å, rel. 10; 1.654 Å, rel. 12; 1.630 Å, rel. 16; 1.540 Å, rel. 10; 1.407 Å, rel. 22; 1.378 Å, rel. 9

[10]
Diffraction record for InHg2Br6. The powder XRD pattern is theoretical, not measured: it uses a crystal structure in Alexandria, relaxed with GGA-PBE and copper Kα.

Crystal structure
Cell: 9.403 9.403 7.629 Å, 96.99 96.99 85.62°
Positions (direct):
In 0.108 0.892 0.750
In 0.892 0.108 0.250
Hg 0.236 0.398 0.674
Hg 0.398 0.236 0.174
Hg 0.602 0.764 0.826
Hg 0.764 0.602 0.326
Br 0.047 0.181 0.600
Br 0.123 0.623 0.873
Br 0.181 0.047 0.100
Br 0.286 0.472 0.360
Br 0.377 0.877 0.627
Br 0.472 0.286 0.860
Br 0.528 0.714 0.140
Br 0.623 0.123 0.373
Br 0.714 0.528 0.640
Br 0.819 0.953 0.900
Br 0.877 0.377 0.127
Br 0.953 0.819 0.400

Top 10 peaks for 15° ≤ 2θ ≤ 90°, sorted by position:
4.274 Å, rel. 100; 3.770 Å, rel. 95; 3.653 Å, rel. 62; 3.634 Å, rel. 34; 3.505 Å, rel. 54; 3.072 Å, rel. 37; 2.183 Å, rel. 89; 2.130 Å, rel. 36; 2.112 Å, rel. 99; 2.102 Å, rel. 39

[11]
Diffraction record for PrP5. The powder XRD pattern is theoretical, not measured: it uses a crystal structure in Alexandria, relaxed with GGA-PBE and copper Kα.

Crystal structure
Cell: 5.078 9.632 5.494 Å, 90.00 102.01 90.00°
Positions (direct):
Pr 0.009 0.250 0.349
Pr 0.991 0.750 0.651
P 0.291 0.250 0.901
P 0.294 0.530 0.402
P 0.294 0.970 0.402
P 0.385 0.590 0.048
P 0.385 0.910 0.048
P 0.615 0.090 0.952
P 0.615 0.410 0.952
P 0.706 0.030 0.598
P 0.706 0.470 0.598
P 0.709 0.750 0.099

Top 10 peaks for 15° ≤ 2θ ≤ 90°, sorted by position:
4.816 Å, rel. 28; 4.693 Å, rel. 44; 3.770 Å, rel. 63; 3.457 Å, rel. 100; 3.319 Å, rel. 38; 3.138 Å, rel. 51; 3.121 Å, rel. 46; 2.756 Å, rel. 34; 2.588 Å, rel. 47; 2.021 Å, rel. 29

[12]
Diffraction record for CaAc2AuO5. The powder XRD pattern is theoretical, not measured: it uses a crystal structure in Alexandria, relaxed with GGA-PBE and copper Kα.

Crystal structure
Cell: 7.085 7.085 6.158 Å, 90.00 90.00 90.00°
Positions (direct):
Ca 0.000 0.000 0.000
Ca 0.500 0.500 0.000
Ac 0.171 0.329 0.500
Ac 0.329 0.829 0.500
Ac 0.671 0.171 0.500
Ac 0.829 0.671 0.500
Au 0.000 0.500 0.000
Au 0.500 0.000 0.000
O 0.000 0.000 0.500
O 0.154 0.654 0.242
O 0.154 0.654 0.758
O 0.346 0.154 0.242
O 0.346 0.154 0.758
O 0.500 0.500 0.500
O 0.654 0.846 0.242
O 0.654 0.846 0.758
O 0.846 0.346 0.242
O 0.846 0.346 0.758

Top 10 peaks for 15° ≤ 2θ ≤ 90°, sorted by position:
5.010 Å, rel. 34; 3.169 Å, rel. 25; 3.073 Å, rel. 100; 2.818 Å, rel. 54; 2.505 Å, rel. 15; 2.208 Å, rel. 36; 2.106 Å, rel. 33; 1.776 Å, rel. 15; 1.655 Å, rel. 14; 1.102 Å, rel. 13

[13]
Diffraction record for LaPm4H10. The powder XRD pattern is theoretical, not measured: it uses a crystal structure in Alexandria, relaxed with GGA-PBE and copper Kα.

Crystal structure
Cell: 15.934 15.934 15.934 Å, 13.89 13.89 13.89°
Positions (direct):
La 0.000 0.000 0.000
Pm 0.200 0.200 0.200
Pm 0.401 0.401 0.401
Pm 0.599 0.599 0.599
Pm 0.800 0.800 0.800
H 0.052 0.052 0.052
H 0.150 0.150 0.150
H 0.249 0.249 0.249
H 0.352 0.352 0.352
H 0.451 0.451 0.451
H 0.549 0.549 0.549
H 0.648 0.648 0.648
H 0.751 0.751 0.751
H 0.850 0.850 0.850
H 0.948 0.948 0.948

Top 10 peaks for 15° ≤ 2θ ≤ 90°, sorted by position:
3.150 Å, rel. 100; 2.728 Å, rel. 49; 1.929 Å, rel. 38; 1.645 Å, rel. 33; 1.643 Å, rel. 11; 1.574 Å, rel. 9; 1.250 Å, rel. 9; 1.221 Å, rel. 8; 1.219 Å, rel. 8; 1.113 Å, rel. 10